[1]
For SrAcGaN2, the GGA-PBE geometry in Alexandria gives the calculated powder diffraction line list in this record (Cu Ka).

Peak list (6 most intense, 2θ from 10° to 90°, by angle)
- 2θ = 15.9°, 5.565 Å, I 442
- 2θ = 22.4°, 3.977 Å, I 508
- 2θ = 31.5°, 2.843 Å, I 248
- 2θ = 32.2°, 2.783 Å, I 237
- 2θ = 33.3°, 2.691 Å, I 1000
- 2θ = 45.6°, 1.988 Å, I 235

```
SrAcGaN2
1.0
5.5653 0.0000 0.0000
0.0000 5.6852 0.0000
0.0000 0.0000 7.3118
Sr Ac Ga N
2 2 2 4
direct
0.0000 0.0000 0.2500
0.0000 0.0000 0.7500
0.5000 0.5000 0.2500
0.5000 0.5000 0.7500
0.5000 0.0000 0.0000
0.5000 0.0000 0.5000
0.2776 0.2512 0.0000
0.2776 0.7488 0.5000
0.7224 0.2512 0.5000
0.7224 0.7488 0.0000
```

[2]
For NaAcGa, the GGA-PBE geometry in Alexandria gives the calculated powder diffraction line list in this record (Cu Ka).

Peak list (6 most intense, 2θ from 10° to 90°, by angle)
- 2θ = 19.9°, 4.472 Å, I 284
- 2θ = 22.3°, 3.982 Å, I 390
- 2θ = 28.7°, 3.113 Å, I 476
- 2θ = 29.5°, 3.026 Å, I 576
- 2θ = 31.4°, 2.852 Å, I 1000
- 2θ = 36.2°, 2.481 Å, I 297

```
NaAcGa
1.0
2.2934 -10.0638 0.0000
2.2934 10.0638 0.0000
0.0000 0.0000 4.3354
Na Ac Ga
2 2 2
direct
0.2057 0.7943 0.7500
0.7943 0.2057 0.2500
0.4138 0.5862 0.7500
0.5862 0.4138 0.2500
0.0384 0.9616 0.7500
0.9616 0.0384 0.2500
```

[3]
For Na3Ac3GaO8, the GGA-PBE geometry in Alexandria gives the calculated powder diffraction line list in this record (Cu Ka).

Peak list (6 most intense, 2θ from 10° to 90°, by angle)
- 2θ = 15.8°, 5.611 Å, I 1000
- 2θ = 28.9°, 3.093 Å, I 628
- 2θ = 30.3°, 2.948 Å, I 610
- 2θ = 35.6°, 2.520 Å, I 739
- 2θ = 50.2°, 1.817 Å, I 268
- 2θ = 53.0°, 1.729 Å, I 269

```
Na3Ac3GaO8
1.0
3.6338 2.0980 5.6115
-3.6338 2.0980 5.6115
0.0000 -4.1960 5.6115
Na Ac Ga O
3 3 1 8
direct
0.0000 0.5000 0.5000
0.5000 0.0000 0.5000
0.5000 0.5000 0.0000
0.0000 0.0000 0.5000
0.0000 0.5000 0.0000
0.5000 0.0000 0.0000
0.5000 0.5000 0.5000
0.2419 0.2419 0.2419
0.2821 0.7101 0.7101
0.2899 0.2899 0.7179
0.2899 0.7179 0.2899
0.7101 0.2821 0.7101
0.7101 0.7101 0.2821
0.7179 0.2899 0.2899
0.7581 0.7581 0.7581
```